# 1
Structure and simulated X-ray diffraction stick pattern of BaAlV4O7 (a PBE+U-relaxed structure; Cu Kα (weighted mean of Kα1 and Kα2)).

Structure:
```
BaAlV4O7
1.0
5.993 0.000 0.000
-2.996 5.190 0.000
0.000 0.000 10.672
Ba Al V O
2 2 8 14
Direct
0.333 0.667 0.000
0.667 0.333 0.500
0.333 0.667 0.399
0.667 0.333 0.899
0.000 0.000 0.496
0.000 0.000 0.996
0.166 0.332 0.708
0.166 0.834 0.708
0.332 0.166 0.208
0.668 0.834 0.708
0.834 0.166 0.208
0.834 0.668 0.208
0.000 0.000 0.313
0.000 0.000 0.813
0.014 0.507 0.307
0.184 0.368 0.523
0.184 0.816 0.523
0.368 0.184 0.023
0.493 0.507 0.307
0.493 0.986 0.307
0.507 0.014 0.807
0.507 0.493 0.807
0.632 0.816 0.523
0.816 0.184 0.023
0.816 0.632 0.023
0.986 0.493 0.807
```

Largest 8 diffraction maxima, sorted by position, 10° ≤ 2θ ≤ 90°:
| 2θ (°) | Rel. int. | index |
| --- | --- | --- |
| 19.0 | 384 | 1 0 1 |
| 29.8 | 290 | 1 1 0 |
| 30.5 | 556 | 1 0 3 |
| 33.6 | 286 | 0 0 4 |
| 34.3 | 1000 | 1 1 2 |
| 35.6 | 874 | 2 0 1 |
| 55.8 | 390 | 2 0 5 |
| 61.9 | 320 | 2 2 0 |



# 2
Structure and simulated X-ray diffraction stick pattern of Ba2AlW3O7 (a PBE+U-relaxed structure; Cu Kα (weighted mean of Kα1 and Kα2)).

Structure:
```
Ba2AlW3O7
1.0
3.445 0.000 0.000
0.000 4.161 0.000
0.000 0.000 13.565
Ba Al W O
2 1 3 7
Direct
0.000 0.000 0.190
0.000 0.000 0.810
0.000 0.000 0.500
0.500 0.500 0.000
0.500 0.500 0.406
0.500 0.500 0.594
0.000 0.500 0.325
0.000 0.500 0.675
0.500 0.000 0.000
0.500 0.000 0.377
0.500 0.000 0.623
0.500 0.500 0.141
0.500 0.500 0.859
```

Largest 8 diffraction maxima, sorted by position, 10° ≤ 2θ ≤ 90°:
| 2θ (°) | Rel. int. | index |
| --- | --- | --- |
| 25.1 | 554 | 0 1 2 |
| 29.1 | 1000 | 1 0 2 |
| 32.7 | 365 | 1 0 3 |
| 33.0 | 429 | 0 0 5 |
| 33.8 | 836 | 1 1 0 |
| 43.5 | 300 | 0 2 0 |
| 48.0 | 557 | 1 1 5 |
| 53.2 | 360 | 2 0 0 |



# 3
Structure and simulated X-ray diffraction stick pattern of BaAlW4O7 (a PBE+U-relaxed structure; Cu Kα (weighted mean of Kα1 and Kα2)).

Structure:
```
BaAlW4O7
1.0
6.104 0.000 0.000
-3.052 5.286 0.000
0.000 0.000 11.146
Ba Al W O
2 2 8 14
Direct
0.333 0.667 0.000
0.667 0.333 0.500
0.333 0.667 0.399
0.667 0.333 0.899
0.000 0.000 0.012
0.000 0.000 0.512
0.168 0.337 0.702
0.168 0.832 0.702
0.337 0.168 0.202
0.663 0.832 0.702
0.832 0.168 0.202
0.832 0.663 0.202
0.000 0.000 0.315
0.000 0.000 0.815
0.010 0.505 0.313
0.192 0.383 0.512
0.192 0.808 0.512
0.383 0.192 0.012
0.495 0.505 0.313
0.495 0.990 0.313
0.505 0.010 0.813
0.505 0.495 0.813
0.617 0.808 0.512
0.808 0.192 0.012
0.808 0.617 0.012
0.990 0.495 0.813
```

Largest 8 diffraction maxima, sorted by position, 10° ≤ 2θ ≤ 90°:
| 2θ (°) | Rel. int. | index |
| --- | --- | --- |
| 15.9 | 325 | 0 0 2 |
| 16.8 | 342 | 1 0 0 |
| 18.6 | 319 | 1 0 1 |
| 29.4 | 358 | 1 0 3 |
| 33.5 | 829 | 1 1 2 |
| 34.9 | 1000 | 2 0 1 |
| 53.8 | 407 | 2 0 5 |
| 60.7 | 374 | 2 2 0 |



# 4
Structure and simulated X-ray diffraction stick pattern of Ba2AlW3O7 (a PBE+U-relaxed structure; Cu Kα (weighted mean of Kα1 and Kα2)).

Structure:
```
Ba2AlW3O7
1.0
3.908 0.000 0.000
0.000 4.158 0.000
0.000 0.000 12.570
Ba Al W O
2 1 3 7
Direct
0.000 0.000 0.000
0.000 0.000 0.371
0.000 0.000 0.668
0.500 0.500 0.184
0.500 0.500 0.577
0.500 0.500 0.813
0.000 0.500 0.518
0.000 0.500 0.852
0.500 0.000 0.185
0.500 0.000 0.546
0.500 0.000 0.836
0.500 0.500 0.031
0.500 0.500 0.337
```

Largest 8 diffraction maxima, sorted by position, 10° ≤ 2θ ≤ 90°:
| 2θ (°) | Rel. int. | index |
| --- | --- | --- |
| 25.7 | 291 | 0 1 2 |
| 26.9 | 355 | 1 0 2 |
| 30.3 | 702 | 0 1 3 |
| 31.3 | 705 | 1 0 3 |
| 31.4 | 1000 | 1 1 0 |
| 43.5 | 297 | 0 2 0 |
| 48.3 | 473 | 1 1 5 |
| 54.6 | 297 | 1 2 3 |



# 5
Structure and simulated X-ray diffraction stick pattern of Ba2AlW3O8 (a PBE+U-relaxed structure; Cu Kα (weighted mean of Kα1 and Kα2)).

Structure:
```
Ba2AlW3O8
1.0
3.967 0.000 0.000
0.000 3.967 0.000
0.000 0.000 12.862
Ba Al W O
2 1 3 8
Direct
0.000 0.000 0.193
0.000 0.000 0.807
0.000 0.000 0.500
0.500 0.500 0.000
0.500 0.500 0.400
0.500 0.500 0.600
0.000 0.500 0.000
0.000 0.500 0.350
0.000 0.500 0.650
0.500 0.000 0.000
0.500 0.000 0.350
0.500 0.000 0.650
0.500 0.500 0.151
0.500 0.500 0.849
```

Largest 8 diffraction maxima, sorted by position, 10° ≤ 2θ ≤ 90°:
| 2θ (°) | Rel. int. | index |
| --- | --- | --- |
| 26.4 | 1000 | 1 0 2 |
| 30.7 | 901 | 1 0 3 |
| 31.9 | 883 | 1 1 0 |
| 34.9 | 411 | 0 0 5 |
| 45.7 | 508 | 2 0 0 |
| 48.0 | 553 | 1 1 5 |
| 56.1 | 337 | 2 1 3 |
| 58.8 | 342 | 2 0 5 |



# 6
Structure and simulated X-ray diffraction stick pattern of Al7CrBi4O18 (a PBE+U-relaxed structure; Cu Kα (weighted mean of Kα1 and Kα2)).

Structure:
```
Al7CrBi4O18
1.0
7.800 0.000 0.000
0.000 5.823 0.000
-0.018 0.000 8.243
Al Cr Bi O
7 1 4 18
Direct
0.000 0.000 0.000
0.000 0.476 0.000
0.146 0.239 0.337
0.350 0.240 0.840
0.500 0.476 0.500
0.650 0.240 0.160
0.854 0.239 0.663
0.500 0.996 0.500
0.169 0.735 0.670
0.328 0.736 0.168
0.672 0.736 0.832
0.831 0.735 0.330
0.000 0.237 0.500
0.123 0.486 0.206
0.125 0.990 0.208
0.137 0.238 0.915
0.143 0.738 0.935
0.352 0.726 0.433
0.359 0.250 0.411
0.371 0.988 0.715
0.374 0.485 0.709
0.500 0.240 0.000
0.626 0.485 0.291
0.629 0.988 0.285
0.641 0.250 0.589
0.648 0.726 0.567
0.857 0.738 0.065
0.863 0.238 0.085
0.875 0.990 0.792
0.877 0.486 0.794
```

Largest 8 diffraction maxima, sorted by position, 10° ≤ 2θ ≤ 90°:
| 2θ (°) | Rel. int. | index |
| --- | --- | --- |
| 15.2 | 963 | 0 1 0 |
| 24.4 | 374 | 1 0 2 |
| 25.3 | 270 | 2 0 -1 |
| 28.9 | 1000 | 1 1 2 |
| 29.6 | 896 | 2 1 -1 |
| 30.7 | 300 | 0 2 0 |
| 40.2 | 428 | 2 2 1 |
| 48.3 | 342 | 3 0 3 |